(1)
# Tm8RePd2
Calculated PXRD pattern, Cu Ka. Input: a DFT-relaxed cell (PBE, Alexandria).

Atomic structure:
abc: 7.6852 7.6852 5.6330
angles: 100.20 100.20 115.17
Fractional positions:
Tm 0.0000 0.0000 0.0000
Tm 0.0336 0.2759 0.5697
Tm 0.1385 0.5657 0.1741
Tm 0.2759 0.0336 0.5697
Tm 0.4391 0.6808 0.7602
Tm 0.5657 0.1385 0.1741
Tm 0.6808 0.4391 0.7602
Tm 0.7181 0.7181 0.3531
Re 0.3588 0.3588 0.2960
Pd 0.0559 0.6692 0.6824
Pd 0.6692 0.0559 0.6824

Most intense lines, 2θ from 10° to 80°, by angle:
d_spacing, intensity
2.871, 52
2.769, 89
2.752, 60
2.737, 59
2.653, 100
2.491, 53
2.461, 34
2.329, 78

(2)
# Sr5U5O19
Calculated PXRD pattern, Cu Ka. Input: a DFT-relaxed cell (PBE, Alexandria).

Atomic structure:
abc: 6.8665 7.7815 8.7737
angles: 99.67 97.47 107.33
Fractional positions:
Sr 0.0000 0.0000 0.0000
Sr 0.1775 0.3867 0.4065
Sr 0.4009 0.7972 0.8141
Sr 0.5977 0.1985 0.2130
Sr 0.7920 0.5963 0.6058
U 0.2077 0.8998 0.4211
U 0.3890 0.2935 0.8014
U 0.5760 0.6926 0.2100
U 0.7905 0.1040 0.6132
U 0.9990 0.4834 0.0004
O 0.0417 0.6935 0.8889
O 0.0487 0.2429 0.8335
O 0.1169 0.1275 0.5686
O 0.1642 0.7066 0.5492
O 0.2027 0.6668 0.2268
O 0.2304 0.0724 0.2742
O 0.3437 0.5299 0.9815
O 0.3700 0.1180 0.9444
O 0.4241 0.4831 0.6736
O 0.4536 0.0568 0.6461
O 0.5209 0.4975 0.3359
O 0.5472 0.9344 0.3891
O 0.6485 0.8867 0.0836
O 0.7251 0.5184 0.0803
O 0.7329 0.3500 0.7884
O 0.7548 0.8975 0.7268
O 0.8253 0.2965 0.4837
O 0.8705 0.8065 0.3770
O 0.9533 0.2902 0.1306

Most intense lines, 2θ from 10° to 80°, by angle:
d_spacing, intensity
6.225, 51
3.271, 100
3.219, 48
3.112, 44
2.793, 45
2.770, 22
1.942, 28
1.927, 18

(3)
# LaSc3Ga4
Calculated PXRD pattern, Cu Ka. Input: a DFT-relaxed cell (PBE, Alexandria).

Atomic structure:
abc: 9.8507 6.7425 5.0579
angles: 90.00 90.00 90.00
Fractional positions:
La 0.0000 0.0000 0.0000
La 0.5000 0.0000 0.0000
Sc 0.0000 0.5000 0.0000
Sc 0.2500 0.0000 0.4509
Sc 0.2500 0.5000 0.4130
Sc 0.5000 0.5000 0.0000
Sc 0.7500 0.0000 0.5491
Sc 0.7500 0.5000 0.5870
Ga 0.0000 0.2791 0.5000
Ga 0.0000 0.7209 0.5000
Ga 0.2500 0.2780 0.9125
Ga 0.2500 0.7220 0.9125
Ga 0.5000 0.2791 0.5000
Ga 0.5000 0.7209 0.5000
Ga 0.7500 0.2780 0.0875
Ga 0.7500 0.7220 0.0875

Most intense lines, 2θ from 10° to 80°, by angle:
d_spacing, intensity
3.126, 15
2.529, 21
2.463, 31
2.438, 100
2.249, 11
1.764, 14
1.442, 8
1.417, 17

(4)
# In3Ag2Pd8
Calculated PXRD pattern, Cu Ka. Input: a DFT-relaxed cell (PBE, Alexandria).

Atomic structure:
abc: 10.4504 10.4504 10.4504
angles: 29.29 29.29 29.29
Fractional positions:
In 0.0000 0.0000 0.0000
In 0.1850 0.1850 0.1850
In 0.8150 0.8150 0.8150
Ag 0.3619 0.3619 0.3619
Ag 0.6381 0.6381 0.6381
Pd 0.2263 0.7274 0.7274
Pd 0.2731 0.2731 0.2731
Pd 0.2726 0.2726 0.7737
Pd 0.2726 0.7737 0.2726
Pd 0.7274 0.2263 0.7274
Pd 0.7274 0.7274 0.2263
Pd 0.7269 0.7269 0.7269
Pd 0.7737 0.2726 0.2726

Most intense lines, 2θ from 10° to 80°, by angle:
d_spacing, intensity
2.642, 47
2.342, 100
2.336, 32
2.262, 75
2.188, 31
2.138, 36
1.460, 50
1.321, 32